MgBeH5: computed XRD peak list (Cu Kα (weighted mean of Kα1 and Kα2)), based on a structure optimized by DFT (GGA-PBE).
Neutral-atom scattering factors, no anomalous dispersion.

Peak list (10 most intense, 2θ = 10–90°, by angle)
21.6 deg, d = 4.113 Å, intensity 100
23.9 deg, d = 3.717 Å, intensity 16
24.6 deg, d = 3.619 Å, intensity 50
26.6 deg, d = 3.351 Å, intensity 19
29.9 deg, d = 2.985 Å, intensity 32
34.0 deg, d = 2.639 Å, intensity 21
38.4 deg, d = 2.345 Å, intensity 32
44.0 deg, d = 2.058 Å, intensity 22
44.8 deg, d = 2.021 Å, intensity 17
45.2 deg, d = 2.006 Å, intensity 18

Crystal structure
Unit cell a=8.6767 b=5.2781 c=6.5641 alpha=90.00 beta=90.00 gamma=90.00
Fractional coordinates of all 28 atoms:
Mg 0.0729 0.2500 0.2480
Mg 0.4271 0.7500 0.7480
Mg 0.5729 0.2500 0.2520
Mg 0.9271 0.7500 0.7520
Be 0.1840 0.7500 0.0191
Be 0.3160 0.2500 0.5191
Be 0.6840 0.7500 0.4809
Be 0.8160 0.2500 0.9809
H 0.0000 0.0000 0.5000
H 0.0000 0.5000 0.5000
H 0.1367 0.5309 0.1199
H 0.1367 0.9691 0.1199
H 0.1418 0.7500 0.8075
H 0.1457 0.2500 0.5211
H 0.3543 0.7500 0.0211
H 0.3582 0.2500 0.3075
H 0.3633 0.0309 0.6199
H 0.3633 0.4691 0.6199
H 0.5000 0.0000 0.0000
H 0.5000 0.5000 0.0000
H 0.6367 0.5309 0.3801
H 0.6367 0.9691 0.3801
H 0.6418 0.7500 0.6925
H 0.6457 0.2500 0.9789
H 0.8543 0.7500 0.4789
H 0.8582 0.2500 0.1925
H 0.8633 0.0309 0.8801
H 0.8633 0.4691 0.8801


CsNa10Cd2: computed XRD peak list (Cu Kα (weighted mean of Kα1 and Kα2)), based on a structure optimized by DFT (GGA-PBE).
Neutral-atom scattering factors, no anomalous dispersion.

Peak list (10 most intense, 2θ = 10–90°, by angle)
12.9 deg, d = 6.853 Å, intensity 21
15.0 deg, d = 5.918 Å, intensity 14
19.8 deg, d = 4.476 Å, intensity 24
21.2 deg, d = 4.182 Å, intensity 37
30.2 deg, d = 2.961 Å, intensity 100
33.9 deg, d = 2.647 Å, intensity 21
36.4 deg, d = 2.466 Å, intensity 13
43.2 deg, d = 2.093 Å, intensity 26
53.7 deg, d = 1.708 Å, intensity 17
62.9 deg, d = 1.479 Å, intensity 15

Crystal structure
Unit cell a=9.0502 b=9.0502 c=11.8220 alpha=90.00 beta=90.00 gamma=98.43
Fractional coordinates of all 26 atoms:
Cs 0.1215 0.8785 0.7500
Cs 0.8785 0.1215 0.2500
Na 0.1211 0.4064 0.7500
Na 0.1722 0.8278 0.0951
Na 0.1722 0.8278 0.4049
Na 0.2279 0.2279 0.0000
Na 0.2279 0.2279 0.5000
Na 0.2348 0.4749 0.2500
Na 0.3851 0.6149 0.5601
Na 0.3851 0.6149 0.9399
Na 0.4064 0.1211 0.2500
Na 0.4749 0.2348 0.7500
Na 0.5251 0.7652 0.2500
Na 0.5936 0.8789 0.7500
Na 0.6149 0.3851 0.0601
Na 0.6149 0.3851 0.4399
Na 0.7652 0.5251 0.7500
Na 0.7721 0.7721 0.0000
Na 0.7721 0.7721 0.5000
Na 0.8278 0.1722 0.5951
Na 0.8278 0.1722 0.9049
Na 0.8789 0.5936 0.2500
Cd 0.0000 0.5000 0.0000
Cd 0.0000 0.5000 0.5000
Cd 0.5000 0.0000 0.0000
Cd 0.5000 0.0000 0.5000